[1]
Structure and theoretical powder XRD pattern of Tb3TmTh3 (DFT lattice parameters and positions (GGA-PBE); Cu Kα, 1.54184 Å).
Neutral-atom scattering factors, no anomalous dispersion.

The 10 most intense peaks (5° ≤ 2θ ≤ 70°), by intensity:
2θ (°)  d/Å  I/Imax
32.7  2.740  1000
30.9  2.896  260
28.7  3.109  235
60.7  1.526  227
56.1  1.640  220
50.9  1.795  202
42.7  2.119  164
61.8  1.502  164
68.5  1.370  41
64.3  1.448  33

Crystal structure
```
data_Tb3TmTh3
_chemical_formula_sum 'Tb6 Tm2 Th6'
_cell_length_a 9.4995
_cell_length_b 9.4995
_cell_length_c 5.7919
_cell_angle_alpha 90.00
_cell_angle_beta 90.00
_cell_angle_gamma 120.00
_space_group_name_H-M_alt 'P 1'
_space_group_IT_number 1
loop_
_space_group_symop_operation_xyz
'x,y,z'
loop_
_atom_site_label
_atom_site_fract_x
_atom_site_fract_y
_atom_site_fract_z
Tb1 0.0445 0.8044 0.2500
Tb2 0.1956 0.2401 0.2500
Tb3 0.2401 0.0445 0.7500
Tb4 0.7599 0.9555 0.2500
Tb5 0.8044 0.7599 0.7500
Tb6 0.9555 0.1956 0.7500
Tm1 0.3333 0.6667 0.2500
Tm2 0.6667 0.3333 0.7500
Th1 0.1041 0.6171 0.7500
Th2 0.3829 0.4870 0.7500
Th3 0.4870 0.1041 0.2500
Th4 0.5130 0.8959 0.7500
Th5 0.6171 0.5130 0.2500
Th6 0.8959 0.3829 0.2500
```


[2]
Structure and theoretical powder XRD pattern of TbTm3Th2 (DFT lattice parameters and positions (GGA-PBE); Cu Kα, 1.54184 Å).
Neutral-atom scattering factors, no anomalous dispersion.

The 10 most intense peaks (5° ≤ 2θ ≤ 70°), by intensity:
2θ (°)  d/Å  I/Imax
30.9  2.889  1000
31.1  2.875  987
35.9  2.499  675
51.9  1.762  358
61.7  1.504  356
36.1  2.491  333
61.4  1.509  291
51.8  1.766  240
61.8  1.502  214
64.5  1.445  125

Crystal structure
```
data_TbTm3Th2
_chemical_formula_sum 'Tb2 Tm6 Th4'
_cell_length_a 9.9637
_cell_length_b 3.5470
_cell_length_c 10.5633
_cell_angle_alpha 90.00
_cell_angle_beta 90.18
_cell_angle_gamma 90.00
_space_group_name_H-M_alt 'P 1'
_space_group_IT_number 1
loop_
_space_group_symop_operation_xyz
'x,y,z'
loop_
_atom_site_label
_atom_site_fract_x
_atom_site_fract_y
_atom_site_fract_z
Tb1 0.1233 0.2500 0.2511
Tb2 0.8767 0.7500 0.7489
Tm1 0.1317 0.2500 0.9181
Tm2 0.3715 0.7500 0.4177
Tm3 0.3757 0.7500 0.7507
Tm4 0.6243 0.2500 0.2493
Tm5 0.6285 0.2500 0.5823
Tm6 0.8683 0.7500 0.0819
Th1 0.1255 0.2500 0.5820
Th2 0.3782 0.7500 0.0827
Th3 0.6218 0.2500 0.9173
Th4 0.8745 0.7500 0.4180
```


[3]
Structure and theoretical powder XRD pattern of Tb2TmTh6 (DFT lattice parameters and positions (GGA-PBE); Cu Kα, 1.54184 Å).
Neutral-atom scattering factors, no anomalous dispersion.

The 10 most intense peaks (5° ≤ 2θ ≤ 70°), by intensity:
2θ (°)  d/Å  I/Imax
31.4  2.852  1000
33.2  2.699  621
32.2  2.780  531
32.3  2.770  298
35.8  2.508  236
28.7  3.115  197
23.9  3.718  194
29.6  3.013  178
49.5  1.840  144
62.1  1.494  140

Crystal structure
```
data_Tb2TmTh6
_chemical_formula_sum 'Tb2 Tm1 Th6'
_cell_length_a 6.1391
_cell_length_b 6.1462
_cell_length_c 8.7072
_cell_angle_alpha 76.26
_cell_angle_beta 76.15
_cell_angle_gamma 70.48
_space_group_name_H-M_alt 'P 1'
_space_group_IT_number 1
loop_
_space_group_symop_operation_xyz
'x,y,z'
loop_
_atom_site_label
_atom_site_fract_x
_atom_site_fract_y
_atom_site_fract_z
Tb1 0.1656 0.1636 0.4055
Tb2 0.8344 0.8364 0.5945
Tm1 0.5000 0.5000 0.5000
Th1 0.1731 0.7126 0.2090
Th2 0.2757 0.2755 0.9743
Th3 0.2850 0.8266 0.7921
Th4 0.7150 0.1734 0.2079
Th5 0.7243 0.7245 0.0257
Th6 0.8269 0.2874 0.7910
```


[4]
Structure and theoretical powder XRD pattern of Tb3TmTh2 (DFT lattice parameters and positions (GGA-PBE); Cu Kα, 1.54184 Å).
Neutral-atom scattering factors, no anomalous dispersion.

The 10 most intense peaks (5° ≤ 2θ ≤ 70°), by intensity:
2θ (°)  d/Å  I/Imax
30.8  2.905  1000
35.7  2.518  454
30.9  2.892  329
51.4  1.777  241
61.3  1.513  236
35.9  2.504  220
61.0  1.520  195
51.5  1.773  159
61.1  1.516  97
64.0  1.454  84

Crystal structure
```
data_Tb3TmTh2
_chemical_formula_sum 'Tb6 Tm2 Th4'
_cell_length_a 10.0152
_cell_length_b 3.5713
_cell_length_c 10.6494
_cell_angle_alpha 90.00
_cell_angle_beta 90.19
_cell_angle_gamma 90.00
_space_group_name_H-M_alt 'P 1'
_space_group_IT_number 1
loop_
_space_group_symop_operation_xyz
'x,y,z'
loop_
_atom_site_label
_atom_site_fract_x
_atom_site_fract_y
_atom_site_fract_z
Tb1 0.1236 0.2500 0.2508
Tb2 0.1336 0.2500 0.9175
Tb3 0.3695 0.7500 0.4172
Tb4 0.6305 0.2500 0.5828
Tb5 0.8664 0.7500 0.0825
Tb6 0.8764 0.7500 0.7492
Tm1 0.3753 0.7500 0.7504
Tm2 0.6247 0.2500 0.2496
Th1 0.1232 0.2500 0.5828
Th2 0.3801 0.7500 0.0830
Th3 0.6199 0.2500 0.9170
Th4 0.8768 0.7500 0.4172
```